1.
For Er2Ga2Cu3, a GGA-PBE-relaxed structure gives the computed powder diffraction line list in this record (Cu Kα, 1.54184 Å).
Intensities are scaled so that the largest is 100.

Cell and atoms:
```
data_Er2Ga2Cu3
_chemical_formula_sum 'Er4 Ga4 Cu6'
_cell_length_a 4.094
_cell_length_b 18.599
_cell_length_c 3.353
_cell_angle_alpha 90.00
_cell_angle_beta 90.00
_cell_angle_gamma 90.00
_symmetry_space_group_name_H-M 'C m m m'
_symmetry_Int_Tables_number 65
_symmetry_space_group_name_Hall '-C 2 2'
loop_
_atom_site_label
_atom_site_type_symbol
_atom_site_fract_x
_atom_site_fract_y
_atom_site_fract_z
Er1 Er 0.000 0.147 0.000
Ga1 Ga 0.000 0.289 0.500
Cu1 Cu 0.000 0.000 0.000
Cu2 Cu 0.000 0.436 0.500
```

Top 8 peaks for 5° ≤ 2θ ≤ 70°, by intensity:
2θ = 34.9°, I = 100, hkl 1 1 1; 2θ = 40.5°, I = 80, hkl 1 7 0; 2θ = 37.6°, I = 36, hkl 1 3 1; 2θ = 39.6°, I = 34, hkl 0 6 1; 2θ = 44.3°, I = 32, hkl 2 0 0; 2θ = 32.9°, I = 26, hkl 0 4 1; 2θ = 26.1°, I = 20, hkl 1 3 0; 2θ = 47.6°, I = 19, hkl 0 8 1


2.
For CSeF, a GGA-PBE-relaxed structure gives the computed powder diffraction line list in this record (Cu Kα, 1.54184 Å).
Intensities are scaled so that the largest is 100.

Cell and atoms:
```
data_CSeF
_chemical_formula_sum 'C2 Se2 F2'
_cell_length_a 3.774
_cell_length_b 5.726
_cell_length_c 5.976
_cell_angle_alpha 109.87
_cell_angle_beta 94.27
_cell_angle_gamma 103.38
_symmetry_space_group_name_H-M 'P -1'
_symmetry_Int_Tables_number 2
loop_
_symmetry_equiv_pos_as_xyz
'x,y,z'
'-x,-y,-z'
loop_
_atom_site_label
_atom_site_type_symbol
_atom_site_fract_x
_atom_site_fract_y
_atom_site_fract_z
C1 C 0.198 0.061 0.069
Se1 Se 0.448 0.808 0.122
F1 F 0.196 0.254 0.284
```

Top 8 peaks for 5° ≤ 2θ ≤ 70°, by intensity:
2θ = 16.0°, I = 100, hkl 0 0 1; 2θ = 31.7°, I = 66, hkl 1 0 1; 2θ = 24.6°, I = 35, hkl 1 0 0; 2θ = 17.1°, I = 32, hkl 0 1 0; 2θ = 36.5°, I = 31, hkl 1 -2 1; 2θ = 39.1°, I = 25, hkl 1 1 -2; 2θ = 30.5°, I = 25, hkl 0 1 -2; 2θ = 27.6°, I = 23, hkl 0 1 1


3.
For TlH2S2, a GGA-PBE-relaxed structure gives the computed powder diffraction line list in this record (Cu Kα, 1.54184 Å).
Intensities are scaled so that the largest is 100.

Cell and atoms:
```
data_TlH2S2
_chemical_formula_sum 'Tl1 H2 S2'
_cell_length_a 3.988
_cell_length_b 3.596
_cell_length_c 6.790
_cell_angle_alpha 90.00
_cell_angle_beta 95.20
_cell_angle_gamma 90.00
_symmetry_space_group_name_H-M 'P 1 m 1'
_symmetry_Int_Tables_number 6
loop_
_symmetry_equiv_pos_as_xyz
'x,y,z'
'x,-y,z'
loop_
_atom_site_label
_atom_site_type_symbol
_atom_site_fract_x
_atom_site_fract_y
_atom_site_fract_z
Tl1 Tl 0.000 0.000 0.000
H1 H 0.003 0.500 0.562
H2 H 0.680 0.000 0.498
S1 S 0.010 0.000 0.564
S2 S 0.509 0.500 0.051
```

Top 8 peaks for 5° ≤ 2θ ≤ 70°, by intensity:
2θ = 13.1°, I = 100, hkl 0 0 1; 2θ = 33.6°, I = 39, hkl 1 1 0; 2θ = 26.4°, I = 35, hkl 0 0 2; 2θ = 22.4°, I = 31, hkl 1 0 0; 2θ = 36.5°, I = 26, hkl 0 1 2; 2θ = 24.8°, I = 24, hkl 0 1 0; 2θ = 35.4°, I = 20, hkl 1 1 -1; 2θ = 41.9°, I = 20, hkl 1 1 -2


4.
For HgH6SeN2, a GGA-PBE-relaxed structure gives the computed powder diffraction line list in this record (Cu Kα, 1.54184 Å).
Intensities are scaled so that the largest is 100.

Cell and atoms:
```
data_HgH6SeN2
_chemical_formula_sum 'Hg4 H24 Se4 N8'
_cell_length_a 9.810
_cell_length_b 7.248
_cell_length_c 9.255
_cell_angle_alpha 90.00
_cell_angle_beta 106.15
_cell_angle_gamma 90.00
_symmetry_space_group_name_H-M 'C 1 2/c 1'
_symmetry_Int_Tables_number 15
loop_
_symmetry_equiv_pos_as_xyz
'x,y,z'
'-x,-y,-z'
'-x,y,-z+1/2'
'x,-y,z+1/2'
'x+1/2,y+1/2,z'
'-x+1/2,-y+1/2,-z'
'-x+1/2,y+1/2,-z+1/2'
'x+1/2,-y+1/2,z+1/2'
loop_
_atom_site_label
_atom_site_type_symbol
_atom_site_fract_x
_atom_site_fract_y
_atom_site_fract_z
Hg1 Hg 0.000 0.075 0.250
H1 H 0.087 0.288 0.033
H2 H 0.102 0.432 0.178
H3 H 0.229 0.276 0.183
Se1 Se 0.000 0.265 0.750
N1 N 0.121 0.299 0.149
```

Top 8 peaks for 5° ≤ 2θ ≤ 70°, by intensity:
2θ = 18.8°, I = 100, hkl 2 0 0; 2θ = 15.4°, I = 98, hkl 1 1 0; 2θ = 20.0°, I = 94, hkl 0 0 2; 2θ = 31.0°, I = 51, hkl 2 2 -1; 2θ = 23.1°, I = 48, hkl 1 1 -2; 2θ = 23.4°, I = 45, hkl 2 0 -2; 2θ = 40.6°, I = 37, hkl 0 0 4; 2θ = 31.3°, I = 35, hkl 2 0 2


5.
For Ca6Al7O16F, a GGA-PBE-relaxed structure gives the computed powder diffraction line list in this record (Cu Kα, 1.54184 Å).
Intensities are scaled so that the largest is 100.

Cell and atoms:
```
data_Ca6Al7O16F
_chemical_formula_sum 'Ca24 Al28 O64 F4'
_cell_length_a 12.148
_cell_length_b 12.148
_cell_length_c 11.915
_cell_angle_alpha 90.00
_cell_angle_beta 90.00
_cell_angle_gamma 90.00
_symmetry_space_group_name_H-M 'I -4 2 d'
_symmetry_Int_Tables_number 122
_symmetry_space_group_name_Hall 'I -4 2bw'
loop_
_atom_site_label
_atom_site_type_symbol
_atom_site_fract_x
_atom_site_fract_y
_atom_site_fract_z
Ca1 Ca 0.000 0.000 0.193
Ca2 Ca 0.111 0.750 0.625
Ca3 Ca 0.137 0.250 0.125
Al1 Al 0.000 0.000 0.500
Al2 Al 0.018 0.228 0.357
Al3 Al 0.126 0.750 0.125
O1 O 0.035 0.690 0.028
O2 O 0.061 0.101 0.415
O3 O 0.069 0.689 0.438
O4 O 0.150 0.216 0.930
F1 F 0.000 0.000 0.000
```

Top 8 peaks for 5° ≤ 2θ ≤ 70°, by intensity:
2θ = 17.9°, I = 100, hkl 2 1 1; 2θ = 33.0°, I = 65, hkl 4 2 0; 2θ = 36.3°, I = 53, hkl 4 2 2; 2θ = 33.1°, I = 49, hkl 4 0 2; 2θ = 18.1°, I = 47, hkl 1 1 2; 2θ = 29.4°, I = 42, hkl 4 0 0; 2θ = 33.5°, I = 31, hkl 2 0 4; 2θ = 40.7°, I = 31, hkl 5 2 1